# Nd3ErPb2C
Calculated powder X-ray diffraction pattern, CuKα. Input: the PBE geometry in Alexandria.
Lines closer than 0.1° are merged.

Largest 10 diffraction maxima, sorted by position, 10 to 80 degrees two-theta:
2θ = 25.56°, d = 3.486 Å, I 21.0, (1 1 0)
2θ = 27.74°, d = 3.216 Å, I 53.0, (1 1 2)
2θ = 32.19°, d = 2.781 Å, I 29.0, (0 0 6)
2θ = 33.50°, d = 2.675 Å, I 100.0, (1 1 4)
2θ = 35.80°, d = 2.508 Å, I 28.9, (0 2 0)
2θ = 37.10°, d = 2.423 Å, I 26.2, (2 0 0)
2θ = 49.92°, d = 1.827 Å, I 17.0, (2 0 6)
2θ = 52.51°, d = 1.743 Å, I 19.5, (2 2 0)
2θ = 61.61°, d = 1.505 Å, I 17.5, (1 1 10)
2θ = 62.90°, d = 1.478 Å, I 31.0, (1 3 4)

Crystal structure
Unit cell a=4.846 b=5.017 c=16.689 alpha=90.00 beta=90.00 gamma=90.00
Element x y z (fractional)
Nd: 0.000 0.000 0.000
Nd: 0.000 0.500 0.159
Nd: 0.000 0.500 0.841
Nd: 0.500 0.000 0.341
Nd: 0.500 0.000 0.659
Nd: 0.500 0.500 0.500
Er: 0.000 0.000 0.500
Er: 0.500 0.500 0.000
Pb: 0.000 0.500 0.360
Pb: 0.000 0.500 0.640
Pb: 0.500 0.000 0.140
Pb: 0.500 0.000 0.860
C: 0.000 0.500 0.000
C: 0.500 0.000 0.500